[1]
Starting from a cell relaxed with PBE, the powder XRD pattern of Ca3ErMg12 was simulated for Cu Kα X-rays.

Atomic structure:
```
Ca3ErMg12
1.0
4.742 0.000 0.000
0.000 4.742 0.000
0.000 0.000 18.926
Ca Er Mg
3 1 12
Cartesian
0.000 0.000 0.000
0.000 0.000 4.776
0.000 0.000 14.150
0.000 0.000 9.463
0.000 2.371 2.384
0.000 2.371 7.177
0.000 2.371 11.749
0.000 2.371 16.542
2.371 0.000 2.384
2.371 0.000 7.177
2.371 0.000 11.749
2.371 0.000 16.542
2.371 2.371 0.000
2.371 2.371 4.737
2.371 2.371 9.463
2.371 2.371 14.189
```

The 12 most intense peaks (5° ≤ 2θ ≤ 70°), sorted by position:
2θ (°)	I/Imax
9.35	18.7
18.73	29.9
19.29	15.1
20.95	12.2
23.47	11.0
26.60	25.5
32.73	100.0
37.98	49.4
42.66	13.9
54.79	32.6
65.27	25.0
65.39	12.2

---

[2]
Starting from a cell relaxed with PBE, the powder XRD pattern of AcThGa4 was simulated for Cu Kα X-rays.

Atomic structure:
```
AcThGa4
1.0
-2.189 2.189 7.553
2.189 -2.189 7.553
2.189 2.189 -7.553
Ac Th Ga
1 1 4
Cartesian
0.000 0.000 0.000
0.000 2.189 3.776
2.189 0.000 2.557
2.189 0.000 4.996
0.000 0.000 6.258
0.000 0.000 8.847
```

The 12 most intense peaks (5° ≤ 2θ ≤ 70°), sorted by position:
2θ (°)	I/Imax
21.13	12.6
23.56	12.5
26.99	40.4
31.23	100.0
36.12	47.4
41.24	36.9
46.94	22.8
49.98	15.6
55.97	27.1
59.74	12.4
64.24	17.9
68.96	21.0

---

[3]
Starting from a cell relaxed with PBE, the powder XRD pattern of ScPdN was simulated for Cu Kα X-rays.

Atomic structure:
```
ScPdN
1.0
6.036 0.000 0.000
0.000 3.305 0.000
0.000 0.000 8.828
Sc Pd N
4 4 4
Cartesian
0.551 0.826 1.199
2.467 2.478 5.613
3.570 0.826 3.215
5.485 2.478 7.630
0.852 0.826 3.933
2.166 2.478 8.347
3.870 0.826 0.481
5.184 2.478 4.896
0.741 0.826 7.825
2.277 2.478 3.411
3.759 0.826 5.417
5.296 2.478 1.003
```

The 12 most intense peaks (5° ≤ 2θ ≤ 70°), sorted by position:
2θ (°)	I/Imax
17.80	30.0
20.12	78.5
28.85	37.3
31.32	26.5
32.51	45.1
33.89	33.8
40.48	100.0
41.07	42.7
42.92	34.9
43.67	26.3
43.84	28.9
45.60	34.4